No. 1
Computed X-ray diffraction stick pattern
Compound: HfSO7
Radiation: Cu Kα X-rays
Structure: the GGA-PBE geometry in Alexandria

Cell and atoms:
Lattice parameters (Å, degrees): 6.066 6.066 8.427 90.72 90.72 115.36
Atoms (fractional coordinates):
Hf 0.026 0.974 0.750
Hf 0.974 0.026 0.250
S 0.409 0.591 0.250
S 0.591 0.409 0.750
O 0.068 0.932 0.013
O 0.068 0.932 0.487
O 0.211 0.789 0.750
O 0.314 0.318 0.754
O 0.318 0.314 0.254
O 0.321 0.659 0.106
O 0.341 0.679 0.394
O 0.659 0.321 0.606
O 0.679 0.341 0.894
O 0.682 0.686 0.746
O 0.686 0.682 0.246
O 0.789 0.211 0.250
O 0.932 0.068 0.513
O 0.932 0.068 0.987

Main lines, sorted by position (2θ from 15° to 90°):
2θ = 16.2°, rel. 100
2θ = 17.3°, rel. 86
2θ = 20.3°, rel. 35
2θ = 21.1°, rel. 61
2θ = 26.4°, rel. 16
2θ = 27.4°, rel. 44
2θ = 27.5°, rel. 49
2θ = 29.5°, rel. 35
2θ = 32.7°, rel. 18
2θ = 46.6°, rel. 20

***

No. 2
Computed X-ray diffraction stick pattern
Compound: HfSbO
Radiation: Cu Kα X-rays
Structure: the GGA-PBE geometry in Alexandria

Cell and atoms:
Lattice parameters (Å, degrees): 3.343 6.410 7.589 73.17 77.61 89.94
Atoms (fractional coordinates):
Hf 0.244 0.216 0.011
Hf 0.756 0.784 0.989
Sb 0.111 0.472 0.289
Sb 0.889 0.528 0.711
O 0.308 0.954 0.881
O 0.692 0.046 0.119

Main lines, sorted by position (2θ from 15° to 90°):
2θ = 21.8°, rel. 41
2θ = 28.1°, rel. 36
2θ = 31.9°, rel. 91
2θ = 32.1°, rel. 93
2θ = 32.5°, rel. 100
2θ = 35.2°, rel. 39
2θ = 38.1°, rel. 43
2θ = 40.9°, rel. 46
2θ = 41.1°, rel. 46
2θ = 51.1°, rel. 57

***

No. 3
Computed X-ray diffraction stick pattern
Compound: SrHfSbO5
Radiation: Cu Kα X-rays
Structure: the GGA-PBE geometry in Alexandria

Cell and atoms:
Lattice parameters (Å, degrees): 6.085 6.085 8.093 106.93 106.93 102.83
Atoms (fractional coordinates):
Sr 0.185 0.815 0.750
Sr 0.815 0.185 0.250
Hf 0.500 0.500 0.000
Hf 0.500 0.500 0.500
Sb 0.196 0.804 0.250
Sb 0.804 0.196 0.750
O 0.145 0.250 0.894
O 0.192 0.617 0.425
O 0.250 0.145 0.394
O 0.383 0.808 0.075
O 0.456 0.544 0.750
O 0.544 0.456 0.250
O 0.617 0.192 0.925
O 0.750 0.855 0.606
O 0.808 0.383 0.575
O 0.855 0.750 0.106

Main lines, sorted by position (2θ from 15° to 90°):
2θ = 16.2°, rel. 32
2θ = 24.0°, rel. 69
2θ = 26.6°, rel. 54
2θ = 31.2°, rel. 100
2θ = 32.7°, rel. 29
2θ = 44.9°, rel. 16
2θ = 48.9°, rel. 16
2θ = 49.9°, rel. 19
2θ = 53.2°, rel. 16
2θ = 54.8°, rel. 22

***

No. 4
Computed X-ray diffraction stick pattern
Compound: Hf3Sc4O12
Radiation: Cu Kα X-rays
Structure: the GGA-PBE geometry in Alexandria

Cell and atoms:
Lattice parameters (Å, degrees): 6.178 6.193 18.142 96.71 96.82 99.68
Atoms (fractional coordinates):
Hf 0.000 0.000 0.000
Hf 0.017 0.066 0.796
Hf 0.180 0.698 0.564
Hf 0.336 0.327 0.334
Hf 0.572 0.917 0.101
Hf 0.668 0.657 0.668
Hf 0.760 0.590 0.854
Hf 0.845 0.365 0.230
Hf 0.905 0.249 0.436
Sc 0.114 0.815 0.362
Sc 0.116 0.922 0.186
Sc 0.236 0.584 0.767
Sc 0.244 0.471 0.944
Sc 0.343 0.398 0.125
Sc 0.443 0.138 0.696
Sc 0.452 0.254 0.520
Sc 0.503 0.026 0.897
Sc 0.575 0.802 0.279
Sc 0.676 0.728 0.458
Sc 0.779 0.477 0.030
Sc 0.911 0.134 0.613
O 0.004 0.361 0.338
O 0.007 0.388 0.839
O 0.007 0.668 0.457
O 0.063 0.356 0.545
O 0.068 0.346 0.038
O 0.134 0.253 0.709
O 0.145 0.276 0.206
O 0.207 0.121 0.923
O 0.215 0.143 0.425
O 0.280 0.039 0.085
O 0.293 0.034 0.584
O 0.331 0.004 0.790
O 0.332 0.005 0.293
O 0.344 0.701 0.671
O 0.365 0.726 0.171
O 0.397 0.675 0.373
O 0.414 0.675 0.875
O 0.471 0.600 0.039
O 0.481 0.608 0.540
O 0.551 0.465 0.756
O 0.563 0.452 0.266
O 0.613 0.369 0.420
O 0.626 0.367 0.920
O 0.667 0.335 0.626
O 0.673 0.339 0.124
O 0.675 0.036 0.005
O 0.701 0.056 0.505
O 0.730 0.022 0.210
O 0.735 0.010 0.710
O 0.804 0.936 0.872
O 0.805 0.931 0.373
O 0.883 0.809 0.091
O 0.899 0.785 0.602
O 0.939 0.709 0.759
O 0.962 0.701 0.251
O 0.995 0.675 0.957

Main lines, sorted by position (2θ from 15° to 90°):
2θ = 19.4°, rel. 14
2θ = 23.1°, rel. 15
2θ = 30.7°, rel. 100
2θ = 30.9°, rel. 34
2θ = 35.5°, rel. 13
2θ = 35.7°, rel. 24
2θ = 51.1°, rel. 31
2θ = 51.4°, rel. 20
2θ = 60.8°, rel. 12
2θ = 61.0°, rel. 15

***

No. 5
Computed X-ray diffraction stick pattern
Compound: Hf4SeO
Radiation: Cu Kα X-rays
Structure: the GGA-PBE geometry in Alexandria

Cell and atoms:
Lattice parameters (Å, degrees): 6.721 6.721 6.721 106.14 106.14 116.37
Atoms (fractional coordinates):
Hf 0.141 0.447 0.694
Hf 0.197 0.003 0.806
Hf 0.197 0.391 0.194
Hf 0.271 0.000 0.271
Hf 0.729 0.000 0.729
Hf 0.750 0.521 0.771
Hf 0.750 0.979 0.229
Hf 0.753 0.447 0.306
Se 0.249 0.749 0.500
Se 0.499 0.499 0.000
O 0.712 0.212 0.500
O 0.962 0.962 0.000

Main lines, sorted by position (2θ from 15° to 90°):
2θ = 31.3°, rel. 41
2θ = 33.6°, rel. 100
2θ = 35.1°, rel. 21
2θ = 42.3°, rel. 11
2θ = 43.7°, rel. 12
2θ = 44.9°, rel. 23
2θ = 45.9°, rel. 9
2θ = 54.7°, rel. 17
2θ = 57.3°, rel. 25
2θ = 67.6°, rel. 9

***

No. 6
Computed X-ray diffraction stick pattern
Compound: SrHfSeO2
Radiation: Cu Kα X-rays
Structure: the GGA-PBE geometry in Alexandria

Cell and atoms:
Lattice parameters (Å, degrees): 4.009 4.009 6.084 90.00 90.00 90.00
Atoms (fractional coordinates):
Sr 0.000 0.000 0.000
Hf 0.500 0.500 0.355
Se 0.500 0.500 0.776
O 0.000 0.500 0.267
O 0.500 0.000 0.267

Main lines, sorted by position (2θ from 15° to 90°):
2θ = 22.2°, rel. 59
2θ = 26.6°, rel. 100
2θ = 29.4°, rel. 24
2θ = 31.6°, rel. 84
2θ = 37.1°, rel. 92
2θ = 43.6°, rel. 26
2θ = 45.2°, rel. 45
2θ = 53.3°, rel. 30
2θ = 55.7°, rel. 24
2θ = 59.9°, rel. 45

***

No. 7
Computed X-ray diffraction stick pattern
Compound: Hf4SiO
Radiation: Cu Kα X-rays
Structure: the GGA-PBE geometry in Alexandria

Cell and atoms:
Lattice parameters (Å, degrees): 6.682 6.682 6.682 106.73 106.73 115.10
Atoms (fractional coordinates):
Hf 0.134 0.443 0.691
Hf 0.193 0.001 0.809
Hf 0.193 0.384 0.191
Hf 0.290 0.000 0.290
Hf 0.710 0.000 0.710
Hf 0.750 0.540 0.790
Hf 0.750 0.960 0.210
Hf 0.751 0.443 0.309
Si 0.234 0.734 0.500
Si 0.484 0.484 0.000
O 0.704 0.204 0.500
O 0.954 0.954 0.000

Main lines, sorted by position (2θ from 15° to 90°):
2θ = 29.5°, rel. 10
2θ = 31.7°, rel. 45
2θ = 33.6°, rel. 100
2θ = 35.6°, rel. 36
2θ = 43.9°, rel. 11
2θ = 45.5°, rel. 16
2θ = 55.2°, rel. 22
2θ = 57.7°, rel. 17
2θ = 65.1°, rel. 12
2θ = 68.6°, rel. 14

***

No. 8
Computed X-ray diffraction stick pattern
Compound: SrSmHfTiO6
Radiation: Cu Kα X-rays
Structure: the GGA-PBE geometry in Alexandria

Cell and atoms:
Lattice parameters (Å, degrees): 5.697 5.697 5.697 60.00 60.00 60.00
Atoms (fractional coordinates):
Sr 0.000 0.000 0.000
Sm 0.500 0.500 0.500
Hf 0.250 0.250 0.250
Ti 0.750 0.750 0.750
O 0.505 0.505 0.995
O 0.505 0.995 0.505
O 0.505 0.995 0.995
O 0.995 0.505 0.505
O 0.995 0.505 0.995
O 0.995 0.995 0.505

Main lines, sorted by position (2θ from 15° to 90°):
2θ = 19.1°, rel. 23
2θ = 31.4°, rel. 100
2θ = 37.0°, rel. 14
2θ = 45.0°, rel. 31
2θ = 49.3°, rel. 7
2θ = 55.9°, rel. 40
2θ = 59.6°, rel. 5
2θ = 65.5°, rel. 19
2θ = 74.5°, rel. 17
2θ = 83.1°, rel. 6

***

No. 9
Computed X-ray diffraction stick pattern
Compound: SrHf4SnO12
Radiation: Cu Kα X-rays
Structure: the GGA-PBE geometry in Alexandria

Cell and atoms:
Lattice parameters (Å, degrees): 5.636 5.636 8.321 90.00 90.00 91.82
Atoms (fractional coordinates):
Sr 0.000 0.000 0.000
Hf 0.000 0.500 0.255
Hf 0.000 0.500 0.745
Hf 0.500 0.000 0.255
Hf 0.500 0.000 0.745
Sn 0.500 0.500 0.500
O 0.000 0.500 0.000
O 0.000 0.500 0.500
O 0.187 0.813 0.233
O 0.187 0.813 0.767
O 0.326 0.326 0.306
O 0.326 0.326 0.694
O 0.500 0.000 0.000
O 0.500 0.000 0.500
O 0.674 0.674 0.306
O 0.674 0.674 0.694
O 0.813 0.187 0.233
O 0.813 0.187 0.767

Main lines, sorted by position (2θ from 15° to 90°):
2θ = 19.0°, rel. 45
2θ = 21.4°, rel. 50
2θ = 22.0°, rel. 47
2θ = 22.7°, rel. 42
2θ = 30.8°, rel. 95
2θ = 31.3°, rel. 84
2θ = 31.8°, rel. 100
2θ = 54.9°, rel. 46
2θ = 55.7°, rel. 40
2θ = 56.7°, rel. 41

***

No. 10
Computed X-ray diffraction stick pattern
Compound: SrHfTiSnO6
Radiation: Cu Kα X-rays
Structure: the GGA-PBE geometry in Alexandria

Cell and atoms:
Lattice parameters (Å, degrees): 5.714 5.714 5.714 60.00 60.00 60.00
Atoms (fractional coordinates):
Sr 0.000 0.000 0.000
Hf 0.250 0.250 0.250
Ti 0.750 0.750 0.750
Sn 0.500 0.500 0.500
O 0.506 0.506 0.994
O 0.506 0.994 0.506
O 0.506 0.994 0.994
O 0.994 0.506 0.506
O 0.994 0.506 0.994
O 0.994 0.994 0.506

Main lines, sorted by position (2θ from 15° to 90°):
2θ = 19.0°, rel. 22
2θ = 31.3°, rel. 100
2θ = 36.9°, rel. 15
2θ = 44.9°, rel. 32
2θ = 49.1°, rel. 7
2θ = 55.7°, rel. 40
2θ = 59.4°, rel. 5
2θ = 65.3°, rel. 20
2θ = 74.2°, rel. 18
2θ = 82.7°, rel. 7

***

No. 11
Computed X-ray diffraction stick pattern
Compound: HfTiSnO6
Radiation: Cu Kα X-rays
Structure: the GGA-PBE geometry in Alexandria

Cell and atoms:
Lattice parameters (Å, degrees): 4.785 4.785 9.447 90.00 90.00 90.00
Atoms (fractional coordinates):
Hf 0.000 0.000 0.000
Hf 0.500 0.500 0.500
Ti 0.000 0.000 0.669
Ti 0.500 0.500 0.169
Sn 0.000 0.000 0.333
Sn 0.500 0.500 0.833
O 0.190 0.190 0.826
O 0.191 0.191 0.506
O 0.204 0.204 0.166
O 0.296 0.704 0.666
O 0.309 0.691 0.006
O 0.310 0.690 0.326
O 0.690 0.310 0.326
O 0.691 0.309 0.006
O 0.704 0.296 0.666
O 0.796 0.796 0.166
O 0.809 0.809 0.506
O 0.810 0.810 0.826

Main lines, sorted by position (2θ from 15° to 90°):
2θ = 20.8°, rel. 31
2θ = 26.3°, rel. 100
2θ = 34.1°, rel. 78
2θ = 37.6°, rel. 22
2θ = 51.6°, rel. 67
2θ = 54.2°, rel. 17
2θ = 61.3°, rel. 15
2θ = 65.4°, rel. 15
2θ = 65.6°, rel. 20
2θ = 78.1°, rel. 13